No. 1
Structure and computed powder XRD pattern of Th2WSe2Br4 (a cell relaxed with PBE; Cu Kα (λ = 1.5418 Å)).
Intensities are scaled so that the largest is 100.

Main lines, most intense first (2θ from 10° to 90°):
h k l, d/Å, two_theta, I/Imax
0 0 3, 8.069, 10.96, 100
0 1 5, 2.618, 34.25, 41
1 0 4, 2.768, 32.34, 34
1 0 0, 3.113, 28.68, 27
1 1 0, 1.797, 50.81, 26
0 1 7, 2.314, 38.93, 19

Lattice parameters (Å, degrees): 3.5941 3.5941 24.2073 90.00 90.00 120.00
Space group P3m1 (No. 156)
Asymmetric unit:
Th1 0.0000 0.0000 0.0000
Th2 0.3333 0.6667 0.3441
W1 0.3333 0.6667 0.6822
Se1 0.0000 0.0000 0.6164
Se2 0.0000 0.0000 0.7479
Br1 0.0000 0.0000 0.2527
Br2 0.0000 0.0000 0.4355
Br3 0.3333 0.6667 0.0914
Br4 0.3333 0.6667 0.9087



No. 2
Structure and computed powder XRD pattern of V6Ga2H (a cell relaxed with PBE; Cu Kα (λ = 1.5418 Å)).
Intensities are scaled so that the largest is 100.

Main lines, most intense first (2θ from 10° to 90°):
h k l, d/Å, two_theta, I/Imax
2 0 2, 2.196, 41.10, 100
2 2 0, 1.833, 49.74, 28
0 0 4, 2.067, 43.79, 21
2 2 4, 1.372, 68.40, 20
4 2 2, 1.116, 87.36, 19
2 0 6, 1.217, 78.62, 13

Lattice parameters (Å, degrees): 5.184 5.184 8.269 90.00 90.00 90.00
Space group I4/mmm (No. 139)
Asymmetric unit:
V1 0.000 0.000 0.249
V2 0.243 0.243 0.000
Ga1 0.000 0.500 0.250
H1 0.000 0.000 0.500



No. 3
Structure and computed powder XRD pattern of Np7Sb2H12 (a cell relaxed with PBE; Cu Kα (λ = 1.5418 Å)).
Intensities are scaled so that the largest is 100.

Main lines, most intense first (2θ from 10° to 90°):
h k l, d/Å, two_theta, I/Imax
2 -1 1, 2.949, 30.31, 100
3 0 0, 2.562, 35.02, 52
1 2 0, 2.905, 30.78, 48
0 2 1, 2.754, 32.52, 39
5 -2 1, 1.610, 57.22, 29
2 1 1, 2.340, 38.48, 26

Lattice parameters (Å, degrees): 8.8756 8.8756 3.9469 90.00 90.00 120.00
Space group P-3 (No. 147)
Asymmetric unit:
Np1 0.0000 0.0000 0.0000
Np2 0.0687 0.3818 0.2589
Sb1 0.3333 0.6667 0.7549
H1 0.0723 0.6405 0.2430
H2 0.1099 0.2674 0.7590



No. 4
Structure and computed powder XRD pattern of ThUS (a cell relaxed with PBE; Cu Kα (λ = 1.5418 Å)).
Intensities are scaled so that the largest is 100.

Main lines, most intense first (2θ from 10° to 90°):
h k l, d/Å, two_theta, I/Imax
2 1 1, 2.930, 30.51, 100
0 2 0, 2.627, 34.13, 72
1 0 1, 5.235, 16.94, 70
1 1 2, 2.688, 33.33, 58
1 1 3, 2.010, 45.10, 47
3 0 1, 2.554, 35.14, 41

Lattice parameters (Å, degrees): 8.276 5.254 6.759 90.00 90.00 90.00
Space group Pnma (No. 62)
Asymmetric unit:
Th1 0.192 0.250 0.187
U1 0.029 0.250 0.570
S1 0.113 0.750 0.063



No. 5
Structure and computed powder XRD pattern of Cs4AgAu3Br12 (a cell relaxed with PBE; Cu Kα (λ = 1.5418 Å)).
Intensities are scaled so that the largest is 100.

Main lines, most intense first (2θ from 10° to 90°):
h k l, d/Å, two_theta, I/Imax
4 0 0, 2.742, 32.65, 100
2 2 0, 3.878, 22.93, 80
4 4 0, 1.939, 46.85, 72
4 2 2, 2.239, 40.28, 37
8 4 0, 1.226, 77.89, 32
2 0 0, 5.485, 16.16, 29

Lattice parameters (Å, degrees): 10.970 10.970 10.970 90.00 90.00 90.00
Space group Im-3m (No. 229)
Asymmetric unit:
Cs1 0.250 0.250 0.250
Ag1 0.000 0.000 0.000
Au1 0.000 0.000 0.500
Br1 0.000 0.000 0.257
Br2 0.000 0.250 0.500



No. 6
Structure and computed powder XRD pattern of K2PmYS4 (a cell relaxed with PBE; Cu Kα (λ = 1.5418 Å)).
Intensities are scaled so that the largest is 100.

Main lines, most intense first (2θ from 10° to 90°):
h k l, d/Å, two_theta, I/Imax
1 1 1, 2.995, 29.83, 100
0 0 1, 7.385, 11.98, 54
2 0 2, 2.186, 41.30, 34
0 2 0, 2.056, 44.05, 33
2 0 0, 3.390, 26.29, 24
2 2 -2, 1.695, 54.11, 17

Lattice parameters (Å, degrees): 7.121 4.112 7.756 90.00 107.80 90.00
Space group P2/m (No. 10)
Asymmetric unit:
K1 0.000 0.000 0.000
K2 0.500 0.500 0.000
Pm1 0.000 0.500 0.500
Y1 0.500 0.000 0.500
S1 0.241 0.000 0.705
S2 0.271 0.500 0.297



What did the second record say?
Structure and computed powder XRD pattern of V6Ga2H (a cell relaxed with PBE; Cu Kα (λ = 1.5418 Å)).
Intensities are scaled so that the largest is 100.

Main lines, most intense first (2θ from 10° to 90°):
h k l, d/Å, two_theta, I/Imax
2 0 2, 2.196, 41.10, 100
2 2 0, 1.833, 49.74, 28
0 0 4, 2.067, 43.79, 21
2 2 4, 1.372, 68.40, 20
4 2 2, 1.116, 87.36, 19
2 0 6, 1.217, 78.62, 13

Lattice parameters (Å, degrees): 5.184 5.184 8.269 90.00 90.00 90.00
Space group I4/mmm (No. 139)
Asymmetric unit:
V1 0.000 0.000 0.249
V2 0.243 0.243 0.000
Ga1 0.000 0.500 0.250
H1 0.000 0.000 0.500